No. 1
This entry pairs a crystal structure of La2Al2Te with its computed powder diffractogram. Radiation: Cu Kα X-rays. Structure: the PBE geometry in Alexandria.
Peak positions follow from Bragg's law for the DFT cell and can differ from measured ones.

Structural model:
```
data_La2Al2Te
_cell_length_a 7.980
_cell_length_b 7.980
_cell_length_c 4.428
_cell_angle_alpha 90.00
_cell_angle_beta 90.00
_cell_angle_gamma 90.00
_space_group_name_H-M_alt 'P 1'
_space_group_IT_number 1
_space_group_name_Hall 'P 1'
loop_
_atom_site_label
_atom_site_fract_x
_atom_site_fract_y
_atom_site_fract_z
La1 0.177 0.323 0.000
La2 0.323 0.823 0.000
La3 0.677 0.177 0.000
La4 0.823 0.677 0.000
Al1 0.116 0.616 0.500
Al2 0.384 0.116 0.500
Al3 0.616 0.884 0.500
Al4 0.884 0.384 0.500
Te1 0.000 0.000 0.500
Te2 0.500 0.500 0.500
```

Main lines, low angle first (10 to 90 degrees two-theta):
Position (°2θ)	I/Imax
24.95	45
25.57	37
30.15	98
31.71	25
32.22	100
35.57	51
40.76	29
51.53	26
52.89	31
55.19	28

***

No. 2
This entry pairs a crystal structure of Pm5Pr4Er4 with its computed powder diffractogram. Radiation: Cu Kα X-rays. Structure: the PBE geometry in Alexandria.
Peak positions follow from Bragg's law for the DFT cell and can differ from measured ones.

Structural model:
```
data_Pm5Pr4Er4
_cell_length_a 9.607
_cell_length_b 9.607
_cell_length_c 9.607
_cell_angle_alpha 94.06
_cell_angle_beta 94.06
_cell_angle_gamma 149.13
_space_group_name_H-M_alt 'P 1'
_space_group_IT_number 1
_space_group_name_Hall 'P 1'
loop_
_atom_site_label
_atom_site_fract_x
_atom_site_fract_y
_atom_site_fract_z
Pm1 0.000 0.000 0.000
Pm2 0.309 0.540 0.850
Pm3 0.460 0.309 0.769
Pm4 0.540 0.691 0.231
Pm5 0.691 0.460 0.150
Pr1 0.078 0.382 0.460
Pr2 0.382 0.922 0.304
Pr3 0.618 0.078 0.696
Pr4 0.922 0.618 0.540
Er1 0.154 0.769 0.923
Er2 0.231 0.154 0.385
Er3 0.769 0.846 0.615
Er4 0.846 0.231 0.077
```

Main lines, low angle first (10 to 90 degrees two-theta):
Position (°2θ)	I/Imax
30.18	100
34.93	34
35.09	17
50.24	12
50.35	24
59.73	29
59.94	14
62.75	12
81.92	12
84.36	11